Record 1
K2Cd4Ag3: simulated PXRD pattern (Cu Kα, 1.54184 Å), based on a DFT-relaxed cell (GGA-PBE, Alexandria).
No peak broadening, texture or thermal motion is included.

Cell and atoms:
```
K2Cd4Ag3
1.0
0.0000 5.1773 7.3677
2.9998 0.0000 7.3677
2.9998 5.1773 0.0000
K Cd Ag
2 4 3
Direct
0.1262 0.1262 0.8738 K
0.8738 0.8738 0.1262 K
0.1667 0.5004 0.4996 Cd
0.5004 0.1667 0.8333 Cd
0.4996 0.8333 0.1667 Cd
0.8333 0.4996 0.5004 Cd
0.0000 0.0000 0.5000 Ag
0.5000 0.5000 0.0000 Ag
0.5000 0.5000 0.5000 Ag
```

Top 10 peaks for 2θ from 10° to 80°, by angle:
two_theta  Rel. int.
17.13  25
18.12  37
29.78  19
35.01  20
35.12  100
36.59  36
36.74  68
42.64  30
56.36  29
74.22  22

Record 2
VNi7Pd12: simulated PXRD pattern (Cu Kα, 1.54184 Å), based on a DFT-relaxed cell (GGA-PBE, Alexandria).
No peak broadening, texture or thermal motion is included.

Cell and atoms:
```
VNi7Pd12
1.0
5.3340 3.0796 2.8427
-5.3340 3.0796 2.8427
0.0000 -6.1591 2.8427
V Ni Pd
1 7 12
Direct
0.0000 0.0000 0.0000 V
0.0831 0.6869 0.0878 Ni
0.0878 0.0831 0.6869 Ni
0.3131 0.9122 0.9169 Ni
0.5000 0.5000 0.5000 Ni
0.6869 0.0878 0.0831 Ni
0.9122 0.9169 0.3131 Ni
0.9169 0.3131 0.9122 Ni
0.0756 0.3304 0.3248 Pd
0.2354 0.4959 0.7618 Pd
0.2382 0.7646 0.5041 Pd
0.3248 0.0756 0.3304 Pd
0.3304 0.3248 0.0756 Pd
0.4959 0.7618 0.2354 Pd
0.5041 0.2382 0.7646 Pd
0.6696 0.6752 0.9244 Pd
0.6752 0.9244 0.6696 Pd
0.7618 0.2354 0.4959 Pd
0.7646 0.5041 0.2382 Pd
0.9244 0.6696 0.6752 Pd
```

Top 10 peaks for 2θ from 10° to 80°, by angle:
two_theta  Rel. int.
40.46  100
41.10  44
43.32  52
43.57  34
44.02  10
44.62  44
65.77  10
70.64  15
75.39  10
77.10  18

Record 3
Sb2P: simulated PXRD pattern (Cu Kα, 1.54184 Å), based on a DFT-relaxed cell (GGA-PBE, Alexandria).
No peak broadening, texture or thermal motion is included.

Cell and atoms:
```
Sb2P
1.0
4.1141 0.0000 0.0000
-2.0570 3.5629 0.0000
0.0000 0.0000 5.0618
Sb P
2 1
Direct
0.3333 0.6667 0.1917 Sb
0.6667 0.3333 0.8083 Sb
0.0000 0.0000 0.5000 P
```

Top 10 peaks for 2θ from 10° to 80°, by angle:
two_theta  Rel. int.
24.99  15
30.69  100
35.47  6
43.88  29
44.02  31
54.62  19
57.76  8
63.90  9
72.45  11
72.65  16